No. 1
For CsH8W2, a GGA-PBE-relaxed structure gives the simulated powder diffractogram in this record (Cu Kα, 1.54184 Å).
Peak positions follow from Bragg's law for the DFT cell and can differ from measured ones.

Peak list (6 most intense, 10 to 80 degrees two-theta, sorted by position)
| two_theta | I/Imax |
| --- | --- |
| 13.6 | 100.0 |
| 25.2 | 91.4 |
| 25.3 | 89.7 |
| 25.5 | 58.1 |
| 27.4 | 79.7 |
| 37.5 | 69.6 |

Structural model:
Cell: 4.793 4.796 6.521 Å, 89.97 89.62 61.19°
Positions (direct):
Cs (0.000, 0.000, 0.000)
H (0.001, 0.700, 0.382)
H (0.301, 0.999, 0.381)
H (0.317, 0.681, 0.628)
H (0.345, 0.343, 0.215)
H (0.587, 0.001, 0.652)
H (0.659, 0.654, 0.214)
H (0.751, 0.249, 0.390)
H (0.996, 0.409, 0.651)
W (0.344, 0.342, 0.477)
W (0.657, 0.654, 0.477)



No. 2
For CsZnH4, a GGA-PBE-relaxed structure gives the simulated powder diffractogram in this record (Cu Kα, 1.54184 Å).
Peak positions follow from Bragg's law for the DFT cell and can differ from measured ones.

Peak list (6 most intense, 10 to 80 degrees two-theta, sorted by position)
| two_theta | I/Imax |
| --- | --- |
| 18.9 | 63.1 |
| 23.2 | 45.6 |
| 25.7 | 44.1 |
| 27.4 | 53.9 |
| 29.3 | 100.0 |
| 39.7 | 35.4 |

Structural model:
Cell: 6.552 6.552 7.602 Å, 111.40 111.40 55.41°
Positions (direct):
Cs (0.200, 0.200, 0.207)
Cs (0.800, 0.800, 0.793)
Zn (0.474, 0.474, 0.788)
Zn (0.526, 0.526, 0.212)
H (0.220, 0.676, 0.158)
H (0.322, 0.322, 0.673)
H (0.324, 0.780, 0.842)
H (0.437, 0.563, 0.500)
H (0.563, 0.437, 0.500)
H (0.676, 0.220, 0.158)
H (0.678, 0.678, 0.327)
H (0.780, 0.324, 0.842)



No. 3
For Cs3ZnH4, a GGA-PBE-relaxed structure gives the simulated powder diffractogram in this record (Cu Kα, 1.54184 Å).
Peak positions follow from Bragg's law for the DFT cell and can differ from measured ones.

Peak list (6 most intense, 10 to 80 degrees two-theta, sorted by position)
| two_theta | I/Imax |
| --- | --- |
| 20.2 | 35.3 |
| 23.5 | 100.0 |
| 25.7 | 74.3 |
| 26.8 | 91.0 |
| 27.0 | 97.8 |
| 35.1 | 69.7 |

Structural model:
Cell: 8.775 7.520 6.920 Å, 90.00 90.00 90.00°
Positions (direct):
Cs (0.000, 0.049, 0.000)
Cs (0.223, 0.378, 0.512)
Cs (0.277, 0.622, 0.012)
Cs (0.500, 0.951, 0.500)
Cs (0.723, 0.622, 0.012)
Cs (0.777, 0.378, 0.512)
Zn (0.000, 0.838, 0.514)
Zn (0.500, 0.162, 0.014)
H (0.000, 0.054, 0.452)
H (0.000, 0.705, 0.315)
H (0.158, 0.796, 0.644)
H (0.342, 0.204, 0.144)
H (0.500, 0.295, 0.815)
H (0.500, 0.946, 0.952)
H (0.658, 0.204, 0.144)
H (0.842, 0.796, 0.644)



No. 4
For Cs2ZnH5, a GGA-PBE-relaxed structure gives the simulated powder diffractogram in this record (Cu Kα, 1.54184 Å).
Peak positions follow from Bragg's law for the DFT cell and can differ from measured ones.

Peak list (6 most intense, 10 to 80 degrees two-theta, sorted by position)
| two_theta | I/Imax |
| --- | --- |
| 19.7 | 40.8 |
| 28.0 | 54.5 |
| 28.7 | 100.0 |
| 35.0 | 22.8 |
| 40.0 | 21.3 |
| 50.0 | 41.2 |

Structural model:
Cell: 6.230 6.230 6.230 Å, 118.49 118.49 92.63°
Positions (direct):
Cs (0.000, 0.500, 0.500)
Cs (0.500, 0.000, 0.500)
Zn (0.287, 0.287, 0.000)
H (0.056, 0.056, 0.639)
H (0.056, 0.417, 0.000)
H (0.417, 0.056, 0.000)
H (0.417, 0.417, 0.361)
H (0.481, 0.481, 0.000)



No. 5
For CsHfHgTe3, a GGA-PBE-relaxed structure gives the simulated powder diffractogram in this record (Cu Kα, 1.54184 Å).
Peak positions follow from Bragg's law for the DFT cell and can differ from measured ones.

Peak list (6 most intense, 10 to 80 degrees two-theta, sorted by position)
| two_theta | I/Imax |
| --- | --- |
| 11.4 | 69.1 |
| 21.7 | 42.7 |
| 24.3 | 100.0 |
| 29.5 | 99.4 |
| 33.5 | 48.1 |
| 34.6 | 67.1 |

Structural model:
Cell: 8.833 8.833 7.675 Å, 94.21 94.21 123.89°
Positions (direct):
Cs (0.239, 0.761, 0.750)
Cs (0.761, 0.239, 0.250)
Hf (0.446, 0.554, 0.250)
Hf (0.554, 0.446, 0.750)
Hg (0.075, 0.925, 0.250)
Hg (0.925, 0.075, 0.750)
Te (0.243, 0.295, 0.491)
Te (0.273, 0.727, 0.250)
Te (0.295, 0.243, 0.991)
Te (0.705, 0.757, 0.009)
Te (0.727, 0.273, 0.750)
Te (0.757, 0.705, 0.509)



No. 6
For Cs2HfI7, a GGA-PBE-relaxed structure gives the simulated powder diffractogram in this record (Cu Kα, 1.54184 Å).
Peak positions follow from Bragg's law for the DFT cell and can differ from measured ones.

Peak list (6 most intense, 10 to 80 degrees two-theta, sorted by position)
| two_theta | I/Imax |
| --- | --- |
| 13.2 | 36.2 |
| 19.7 | 32.9 |
| 23.7 | 79.5 |
| 26.5 | 100.0 |
| 29.3 | 44.7 |
| 39.9 | 64.8 |

Structural model:
Cell: 9.073 9.073 9.073 Å, 116.80 116.80 95.63°
Positions (direct):
Cs (0.250, 0.750, 0.500)
Cs (0.750, 0.250, 0.500)
Hf (0.000, 0.000, 0.000)
I (0.212, 0.212, 0.424)
I (0.212, 0.788, 0.000)
I (0.237, 0.237, 0.000)
I (0.500, 0.500, 0.000)
I (0.763, 0.763, 0.000)
I (0.788, 0.212, 0.000)
I (0.788, 0.788, 0.576)



No. 7
For Cs2HfRuI6, a GGA-PBE-relaxed structure gives the simulated powder diffractogram in this record (Cu Kα, 1.54184 Å).
Peak positions follow from Bragg's law for the DFT cell and can differ from measured ones.

Peak list (6 most intense, 10 to 80 degrees two-theta, sorted by position)
| two_theta | I/Imax |
| --- | --- |
| 26.6 | 63.2 |
| 30.8 | 100.0 |
| 44.1 | 73.5 |
| 52.3 | 28.3 |
| 54.8 | 25.7 |
| 72.9 | 33.0 |

Structural model:
Cell: 8.208 8.208 8.208 Å, 119.96 119.96 90.07°
Positions (direct):
Cs (0.250, 0.750, 0.500)
Cs (0.750, 0.250, 0.500)
Hf (0.000, 0.000, 0.000)
Ru (0.500, 0.500, 0.000)
I (0.249, 0.249, 0.000)
I (0.249, 0.249, 0.498)
I (0.249, 0.751, 0.000)
I (0.751, 0.249, 0.000)
I (0.751, 0.751, 0.000)
I (0.751, 0.751, 0.502)



No. 8
For Cs2HfTlI6, a GGA-PBE-relaxed structure gives the simulated powder diffractogram in this record (Cu Kα, 1.54184 Å).
Peak positions follow from Bragg's law for the DFT cell and can differ from measured ones.

Peak list (6 most intense, 10 to 80 degrees two-theta, sorted by position)
| two_theta | I/Imax |
| --- | --- |
| 10.6 | 28.9 |
| 12.6 | 50.5 |
| 25.9 | 36.3 |
| 27.3 | 100.0 |
| 31.3 | 48.4 |
| 42.7 | 53.5 |

Structural model:
Cell: 17.357 17.357 17.357 Å, 28.27 28.27 28.27°
Positions (direct):
Cs (0.137, 0.137, 0.137)
Cs (0.306, 0.306, 0.306)
Cs (0.694, 0.694, 0.694)
Cs (0.863, 0.863, 0.863)
Hf (0.000, 0.000, 0.000)
Hf (0.500, 0.500, 0.500)
Tl (0.417, 0.417, 0.417)
Tl (0.583, 0.583, 0.583)
I (0.142, 0.628, 0.628)
I (0.194, 0.194, 0.714)
I (0.194, 0.714, 0.194)
I (0.286, 0.806, 0.806)
I (0.372, 0.372, 0.858)
I (0.372, 0.858, 0.372)
I (0.628, 0.142, 0.628)
I (0.628, 0.628, 0.142)
I (0.714, 0.194, 0.194)
I (0.806, 0.286, 0.806)
I (0.806, 0.806, 0.286)
I (0.858, 0.372, 0.372)



No. 9
For CsHf3In, a GGA-PBE-relaxed structure gives the simulated powder diffractogram in this record (Cu Kα, 1.54184 Å).
Peak positions follow from Bragg's law for the DFT cell and can differ from measured ones.

Peak list (6 most intense, 10 to 80 degrees two-theta, sorted by position)
| two_theta | I/Imax |
| --- | --- |
| 28.2 | 94.8 |
| 32.6 | 100.0 |
| 46.8 | 73.2 |
| 55.6 | 43.7 |
| 58.3 | 25.5 |
| 77.9 | 33.0 |

Structural model:
Cell: 5.487 5.487 5.487 Å, 90.00 90.00 90.00°
Positions (direct):
Cs (0.000, 0.000, 0.000)
Hf (0.000, 0.500, 0.500)
Hf (0.500, 0.000, 0.500)
Hf (0.500, 0.500, 0.000)
In (0.500, 0.500, 0.500)



No. 10
For Cs2KHf, a GGA-PBE-relaxed structure gives the simulated powder diffractogram in this record (Cu Kα, 1.54184 Å).
Peak positions follow from Bragg's law for the DFT cell and can differ from measured ones.

Peak list (6 most intense, 10 to 80 degrees two-theta, sorted by position)
| two_theta | I/Imax |
| --- | --- |
| 15.6 | 16.0 |
| 25.6 | 100.0 |
| 36.5 | 19.5 |
| 45.1 | 42.5 |
| 59.3 | 18.7 |
| 71.7 | 21.3 |

Structural model:
Cell: 6.964 6.964 6.964 Å, 60.00 60.00 60.00°
Positions (direct):
Cs (0.250, 0.250, 0.250)
Cs (0.750, 0.750, 0.750)
K (0.000, 0.000, 0.000)
Hf (0.500, 0.500, 0.500)



No. 11
For CsHfMg14, a GGA-PBE-relaxed structure gives the simulated powder diffractogram in this record (Cu Kα, 1.54184 Å).
Peak positions follow from Bragg's law for the DFT cell and can differ from measured ones.

Peak list (6 most intense, 10 to 80 degrees two-theta, sorted by position)
| two_theta | I/Imax |
| --- | --- |
| 15.4 | 68.3 |
| 22.9 | 59.8 |
| 31.2 | 33.2 |
| 31.9 | 24.8 |
| 34.0 | 23.0 |
| 35.6 | 100.0 |

Structural model:
Cell: 6.629 6.629 10.559 Å, 90.00 90.00 120.00°
Positions (direct):
Cs (0.000, 0.000, 0.000)
Hf (0.000, 0.000, 0.500)
Mg (0.010, 0.505, 0.000)
Mg (0.170, 0.340, 0.270)
Mg (0.170, 0.340, 0.730)
Mg (0.170, 0.830, 0.270)
Mg (0.170, 0.830, 0.730)
Mg (0.495, 0.505, 0.000)
Mg (0.495, 0.990, 0.000)
Mg (0.503, 0.005, 0.500)
Mg (0.503, 0.497, 0.500)
Mg (0.660, 0.830, 0.270)
Mg (0.660, 0.830, 0.730)
Mg (0.667, 0.333, 0.245)
Mg (0.667, 0.333, 0.755)
Mg (0.995, 0.497, 0.500)



No. 12
For CsHfMg6O7, a GGA-PBE-relaxed structure gives the simulated powder diffractogram in this record (Cu Kα, 1.54184 Å).
Peak positions follow from Bragg's law for the DFT cell and can differ from measured ones.

Peak list (6 most intense, 10 to 80 degrees two-theta, sorted by position)
| two_theta | I/Imax |
| --- | --- |
| 12.3 | 31.4 |
| 22.6 | 51.9 |
| 25.0 | 100.0 |
| 28.6 | 76.9 |
| 31.5 | 51.9 |
| 44.2 | 45.8 |

Structural model:
Cell: 4.098 4.098 14.426 Å, 90.00 90.00 90.00°
Positions (direct):
Cs (0.000, 0.000, 0.000)
Hf (0.500, 0.500, 0.813)
Mg (0.000, 0.000, 0.462)
Mg (0.000, 0.500, 0.288)
Mg (0.000, 0.500, 0.637)
Mg (0.500, 0.000, 0.288)
Mg (0.500, 0.000, 0.637)
Mg (0.500, 0.500, 0.467)
O (0.000, 0.000, 0.598)
O (0.000, 0.500, 0.429)
O (0.000, 0.500, 0.775)
O (0.500, 0.000, 0.429)
O (0.500, 0.000, 0.775)
O (0.500, 0.500, 0.607)
O (0.500, 0.500, 0.944)



No. 13
For CsHf2Mn, a GGA-PBE-relaxed structure gives the simulated powder diffractogram in this record (Cu Kα, 1.54184 Å).
Peak positions follow from Bragg's law for the DFT cell and can differ from measured ones.

Peak list (6 most intense, 10 to 80 degrees two-theta, sorted by position)
| two_theta | I/Imax |
| --- | --- |
| 14.6 | 46.6 |
| 23.9 | 51.5 |
| 28.1 | 100.0 |
| 29.4 | 71.0 |
| 44.7 | 38.3 |
| 48.9 | 60.8 |

Structural model:
Cell: 7.451 7.451 7.451 Å, 60.00 60.00 60.00°
Positions (direct):
Cs (0.125, 0.125, 0.125)
Cs (0.875, 0.875, 0.875)
Hf (0.000, 0.500, 0.500)
Hf (0.500, 0.000, 0.500)
Hf (0.500, 0.500, 0.000)
Hf (0.500, 0.500, 0.500)
Mn (0.375, 0.375, 0.375)
Mn (0.625, 0.625, 0.625)